The following is a calculated XRD peak list of Pm2Cu3Rh. It was derived from a crystal structure in Alexandria, relaxed with GGA-PBE, using Cu Kα X-rays.

Top 6 peaks for 5 to 70 degrees two-theta, by intensity:
two_theta, Rel. int.
33.90, 100
42.11, 32
42.34, 16
65.96, 16
55.26, 16
48.27, 11

Crystal structure
```
data_Pm2Cu3Rh
_chemical_formula_sum 'Pm2 Cu3 Rh1'
_cell_length_a 3.7706
_cell_length_b 4.2698
_cell_length_c 7.4459
_cell_angle_alpha 90.00
_cell_angle_beta 90.00
_cell_angle_gamma 90.00
_space_group_name_H-M_alt 'P 1'
_space_group_IT_number 1
_space_group_name_Hall 'P 1'
loop_
_atom_site_label
_atom_site_fract_x
_atom_site_fract_y
_atom_site_fract_z
Pm1 0.0000 0.0000 0.0000
Pm2 0.0000 0.5000 0.4724
Cu1 0.5000 0.0000 0.6584
Cu2 0.5000 0.5000 0.1417
Cu3 0.5000 0.5000 0.8164
Rh1 0.5000 0.0000 0.3201
```



The following is a calculated XRD peak list of Pm2CuSb4Rh3. It was derived from a crystal structure in Alexandria, relaxed with GGA-PBE, using Cu Kα X-rays.

Top 6 peaks for 5 to 70 degrees two-theta, by intensity:
two_theta, Rel. int.
32.68, 100
39.69, 76
32.28, 70
52.05, 37
47.69, 28
44.56, 27

Crystal structure
```
data_Pm2CuSb4Rh3
_chemical_formula_sum 'Pm2 Cu1 Sb4 Rh3'
_cell_length_a 4.5415
_cell_length_b 4.5415
_cell_length_c 10.5067
_cell_angle_alpha 90.00
_cell_angle_beta 90.00
_cell_angle_gamma 90.00
_space_group_name_H-M_alt 'P 1'
_space_group_IT_number 1
_space_group_name_Hall 'P 1'
loop_
_atom_site_label
_atom_site_fract_x
_atom_site_fract_y
_atom_site_fract_z
Pm1 0.0000 0.5000 0.2422
Pm2 0.5000 0.0000 0.7578
Cu1 0.5000 0.5000 0.0000
Sb1 0.0000 0.0000 0.5000
Sb2 0.0000 0.5000 0.8697
Sb3 0.5000 0.0000 0.1303
Sb4 0.5000 0.5000 0.5000
Rh1 0.0000 0.0000 0.0000
Rh2 0.0000 0.5000 0.6243
Rh3 0.5000 0.0000 0.3757
```



The following is a calculated XRD peak list of PmCu2SiRh. It was derived from a crystal structure in Alexandria, relaxed with GGA-PBE, using Cu Kα X-rays.

Top 6 peaks for 5 to 70 degrees two-theta, by intensity:
two_theta, Rel. int.
36.07, 100
33.78, 21
44.47, 20
46.18, 18
34.32, 17
34.18, 14

Crystal structure
```
data_PmCu2SiRh
_chemical_formula_sum 'Pm1 Cu2 Si1 Rh1'
_cell_length_a 5.9612
_cell_length_b 5.9612
_cell_length_c 5.9612
_cell_angle_alpha 141.49
_cell_angle_beta 140.03
_cell_angle_gamma 56.70
_space_group_name_H-M_alt 'P 1'
_space_group_IT_number 1
_space_group_name_Hall 'P 1'
loop_
_atom_site_label
_atom_site_fract_x
_atom_site_fract_y
_atom_site_fract_z
Pm1 0.0000 0.0000 0.0000
Cu1 0.6003 0.6003 0.0000
Cu2 0.7518 0.2518 0.5000
Si1 0.3742 0.3742 0.0000
Rh1 0.2511 0.7511 0.5000
```



The following is a calculated XRD peak list of Pm3CuSi6Rh2. It was derived from a crystal structure in Alexandria, relaxed with GGA-PBE, using Cu Kα X-rays.

Top 6 peaks for 5 to 70 degrees two-theta, by intensity:
two_theta, Rel. int.
33.32, 100
27.34, 99
38.85, 84
44.14, 62
43.62, 44
67.11, 35

Crystal structure
```
data_Pm3CuSi6Rh2
_chemical_formula_sum 'Pm3 Cu1 Si6 Rh2'
_cell_length_a 5.3788
_cell_length_b 5.3788
_cell_length_c 9.1414
_cell_angle_alpha 90.00
_cell_angle_beta 90.00
_cell_angle_gamma 120.00
_space_group_name_H-M_alt 'P 1'
_space_group_IT_number 1
_space_group_name_Hall 'P 1'
loop_
_atom_site_label
_atom_site_fract_x
_atom_site_fract_y
_atom_site_fract_z
Pm1 0.0000 0.0000 0.0000
Pm2 0.3333 0.6667 0.5822
Pm3 0.6667 0.3333 0.4178
Cu1 0.0000 0.0000 0.5000
Si1 0.1659 0.3319 0.2786
Si2 0.1659 0.8341 0.2786
Si3 0.3319 0.1659 0.7214
Si4 0.6681 0.8341 0.2786
Si5 0.8341 0.1659 0.7214
Si6 0.8341 0.6681 0.7214
Rh1 0.3333 0.6667 0.0805
Rh2 0.6667 0.3333 0.9195
```



The following is a calculated XRD peak list of Pm2ZnCuRh2. It was derived from a crystal structure in Alexandria, relaxed with GGA-PBE, using Cu Kα X-rays.

Top 6 peaks for 5 to 70 degrees two-theta, by intensity:
two_theta, Rel. int.
44.52, 100
33.24, 86
39.99, 82
40.27, 80
30.90, 44
31.25, 42

Crystal structure
```
data_Pm2ZnCuRh2
_chemical_formula_sum 'Pm4 Zn2 Cu2 Rh4'
_cell_length_a 8.2648
_cell_length_b 8.2648
_cell_length_c 8.2648
_cell_angle_alpha 139.47
_cell_angle_beta 59.01
_cell_angle_gamma 139.01
_space_group_name_H-M_alt 'P 1'
_space_group_IT_number 1
_space_group_name_Hall 'P 1'
loop_
_atom_site_label
_atom_site_fract_x
_atom_site_fract_y
_atom_site_fract_z
Pm1 0.1665 0.2421 0.4086
Pm2 0.3335 0.7421 0.0756
Pm3 0.6665 0.2579 0.9244
Pm4 0.8335 0.7579 0.5914
Zn1 0.2500 0.7500 0.5000
Zn2 0.7500 0.2500 0.5000
Cu1 0.2500 0.2500 0.0000
Cu2 0.7500 0.7500 0.0000
Rh1 0.1200 0.7430 0.8630
Rh2 0.3800 0.2430 0.6230
Rh3 0.6200 0.7570 0.3770
Rh4 0.8800 0.2570 0.1370
```



The following is a calculated XRD peak list of Pm4Cu3Ru. It was derived from a crystal structure in Alexandria, relaxed with GGA-PBE, using Cu Kα X-rays.

Top 6 peaks for 5 to 70 degrees two-theta, by intensity:
two_theta, Rel. int.
31.59, 100
39.91, 51
34.34, 39
40.05, 30
25.97, 26
33.85, 22

Crystal structure
```
data_Pm4Cu3Ru
_chemical_formula_sum 'Pm4 Cu3 Ru1'
_cell_length_a 3.8800
_cell_length_b 4.5023
_cell_length_c 10.5932
_cell_angle_alpha 90.00
_cell_angle_beta 90.00
_cell_angle_gamma 90.00
_space_group_name_H-M_alt 'P 1'
_space_group_IT_number 1
_space_group_name_Hall 'P 1'
loop_
_atom_site_label
_atom_site_fract_x
_atom_site_fract_y
_atom_site_fract_z
Pm1 0.0000 0.0000 0.0000
Pm2 0.0000 0.5000 0.2697
Pm3 0.5000 0.0000 0.4789
Pm4 0.5000 0.5000 0.7704
Cu1 0.0000 0.0000 0.6948
Cu2 0.0000 0.5000 0.5633
Cu3 0.5000 0.5000 0.0594
Ru1 0.5000 0.0000 0.2103
```



The following is a calculated XRD peak list of Pm4Cu2Ru. It was derived from a crystal structure in Alexandria, relaxed with GGA-PBE, using Cu Kα X-rays.

Top 6 peaks for 5 to 70 degrees two-theta, by intensity:
two_theta, Rel. int.
36.00, 100
64.72, 35
25.24, 22
51.82, 17
58.49, 9
44.48, 6

Crystal structure
```
data_Pm4Cu2Ru
_chemical_formula_sum 'Pm4 Cu2 Ru1'
_cell_length_a 8.6476
_cell_length_b 8.6476
_cell_length_c 8.6476
_cell_angle_alpha 33.52
_cell_angle_beta 33.52
_cell_angle_gamma 33.52
_space_group_name_H-M_alt 'P 1'
_space_group_IT_number 1
_space_group_name_Hall 'P 1'
loop_
_atom_site_label
_atom_site_fract_x
_atom_site_fract_y
_atom_site_fract_z
Pm1 0.1220 0.1220 0.1220
Pm2 0.3738 0.3738 0.3738
Pm3 0.6262 0.6262 0.6262
Pm4 0.8780 0.8780 0.8780
Cu1 0.2484 0.2484 0.2484
Cu2 0.7516 0.7516 0.7516
Ru1 0.0000 0.0000 0.0000
```



The following is a calculated XRD peak list of PmCu2S2. It was derived from a crystal structure in Alexandria, relaxed with GGA-PBE, using Cu Kα X-rays.

Top 6 peaks for 5 to 70 degrees two-theta, by intensity:
two_theta, Rel. int.
35.66, 100
27.23, 90
31.05, 54
54.59, 41
40.90, 38
34.58, 34

Crystal structure
```
data_PmCu2S2
_chemical_formula_sum 'Pm2 Cu4 S4'
_cell_length_a 5.7597
_cell_length_b 5.7597
_cell_length_c 7.2167
_cell_angle_alpha 113.40
_cell_angle_beta 113.40
_cell_angle_gamma 89.96
_space_group_name_H-M_alt 'P 1'
_space_group_IT_number 1
_space_group_name_Hall 'P 1'
loop_
_atom_site_label
_atom_site_fract_x
_atom_site_fract_y
_atom_site_fract_z
Pm1 0.1255 0.8745 0.7500
Pm2 0.8745 0.1255 0.2500
Cu1 0.0000 0.5000 0.0000
Cu2 0.5000 0.0000 0.5000
Cu3 0.5000 0.5000 0.0000
Cu4 0.5000 0.5000 0.5000
S1 0.1168 0.3655 0.7323
S2 0.3655 0.1168 0.2323
S3 0.6345 0.8832 0.7677
S4 0.8832 0.6345 0.2677
```



The following is a calculated XRD peak list of Pm2ZrCuS5. It was derived from a crystal structure in Alexandria, relaxed with GGA-PBE, using Cu Kα X-rays.

Top 6 peaks for 5 to 70 degrees two-theta, by intensity:
two_theta, Rel. int.
33.41, 100
25.30, 65
39.43, 46
28.61, 40
33.64, 33
21.65, 32

Crystal structure
```
data_Pm2ZrCuS5
_chemical_formula_sum 'Pm4 Zr2 Cu2 S10'
_cell_length_a 8.4255
_cell_length_b 8.4255
_cell_length_c 11.6921
_cell_angle_alpha 90.00
_cell_angle_beta 90.00
_cell_angle_gamma 153.97
_space_group_name_H-M_alt 'P 1'
_space_group_IT_number 1
_space_group_name_Hall 'P 1'
loop_
_atom_site_label
_atom_site_fract_x
_atom_site_fract_y
_atom_site_fract_z
Pm1 0.1166 0.8834 0.5000
Pm2 0.1230 0.8770 0.1362
Pm3 0.8770 0.1230 0.6362
Pm4 0.8834 0.1166 0.0000
Zr1 0.1840 0.8160 0.8253
Zr2 0.8160 0.1840 0.3253
Cu1 0.4407 0.5593 0.2390
Cu2 0.5593 0.4407 0.7390
S1 0.0337 0.9663 0.8424
S2 0.2972 0.7028 0.4818
S3 0.3074 0.6926 0.1666
S4 0.3471 0.6529 0.8198
S5 0.4950 0.5050 0.5680
S6 0.5050 0.4950 0.0680
S7 0.6529 0.3471 0.3198
S8 0.6926 0.3074 0.6666
S9 0.7028 0.2972 0.9818
S10 0.9663 0.0337 0.3424
```



The following is a calculated XRD peak list of PmCuSb. It was derived from a crystal structure in Alexandria, relaxed with GGA-PBE, using Cu Kα X-rays.

Top 6 peaks for 5 to 70 degrees two-theta, by intensity:
two_theta, Rel. int.
31.19, 100
36.98, 72
34.03, 70
33.44, 48
41.75, 41
32.48, 34

Crystal structure
```
data_PmCuSb
_chemical_formula_sum 'Pm2 Cu2 Sb2'
_cell_length_a 6.0154
_cell_length_b 6.0154
_cell_length_c 7.2883
_cell_angle_alpha 125.29
_cell_angle_beta 125.29
_cell_angle_gamma 42.16
_space_group_name_H-M_alt 'P 1'
_space_group_IT_number 1
_space_group_name_Hall 'P 1'
loop_
_atom_site_label
_atom_site_fract_x
_atom_site_fract_y
_atom_site_fract_z
Pm1 0.0452 0.0452 0.2947
Pm2 0.9548 0.9548 0.7053
Cu1 0.3639 0.3639 0.9276
Cu2 0.6361 0.6361 0.0724
Sb1 0.3109 0.3109 0.2661
Sb2 0.6891 0.6891 0.7339
```



The following is a calculated XRD peak list of PmCuSb3. It was derived from a crystal structure in Alexandria, relaxed with GGA-PBE, using Cu Kα X-rays.

Top 6 peaks for 5 to 70 degrees two-theta, by intensity:
two_theta, Rel. int.
31.84, 100
34.80, 56
35.66, 45
40.68, 43
68.52, 33
58.90, 18

Crystal structure
```
data_PmCuSb3
_chemical_formula_sum 'Pm4 Cu4 Sb12'
_cell_length_a 12.6708
_cell_length_b 6.2742
_cell_length_c 6.2707
_cell_angle_alpha 90.00
_cell_angle_beta 90.00
_cell_angle_gamma 90.00
_space_group_name_H-M_alt 'P 1'
_space_group_IT_number 1
_space_group_name_Hall 'P 1'
loop_
_atom_site_label
_atom_site_fract_x
_atom_site_fract_y
_atom_site_fract_z
Pm1 0.1929 0.0007 0.2500
Pm2 0.1929 0.4993 0.7500
Pm3 0.8071 0.5007 0.2500
Pm4 0.8071 0.9993 0.7500
Cu1 0.3923 0.2500 0.0000
Cu2 0.3923 0.2500 0.5000
Cu3 0.6077 0.7500 0.0000
Cu4 0.6077 0.7500 0.5000
Sb1 0.0022 0.2500 0.0000
Sb2 0.0022 0.2500 0.5000
Sb3 0.2712 0.5064 0.2500
Sb4 0.2712 0.9936 0.7500
Sb5 0.4457 0.6371 0.7500
Sb6 0.4457 0.8629 0.2500
Sb7 0.5543 0.1371 0.7500
Sb8 0.5543 0.3629 0.2500
Sb9 0.7288 0.0064 0.2500
Sb10 0.7288 0.4936 0.7500
Sb11 0.9978 0.7500 0.0000
Sb12 0.9978 0.7500 0.5000
```



The following is a calculated XRD peak list of Pm2Sc2Cu15. It was derived from a crystal structure in Alexandria, relaxed with GGA-PBE, using Cu Kα X-rays.

Top 6 peaks for 5 to 70 degrees two-theta, by intensity:
two_theta, Rel. int.
41.43, 100
35.63, 22
41.73, 22
46.61, 21
36.48, 20
42.16, 16

Crystal structure
```
data_Pm2Sc2Cu15
_chemical_formula_sum 'Pm2 Sc2 Cu15'
_cell_length_a 6.6434
_cell_length_b 6.6434
_cell_length_c 6.6434
_cell_angle_alpha 82.14
_cell_angle_beta 82.14
_cell_angle_gamma 82.14
_space_group_name_H-M_alt 'P 1'
_space_group_IT_number 1
_space_group_name_Hall 'P 1'
loop_
_atom_site_label
_atom_site_fract_x
_atom_site_fract_y
_atom_site_fract_z
Pm1 0.1486 0.1486 0.1486
Pm2 0.8514 0.8514 0.8514
Sc1 0.3958 0.3958 0.3958
Sc2 0.6042 0.6042 0.6042
Cu1 0.0000 0.5000 0.5000
Cu2 0.1502 0.1502 0.6570
Cu3 0.1502 0.6570 0.1502
Cu4 0.2013 0.5000 0.7987
Cu5 0.2013 0.7987 0.5000
Cu6 0.3430 0.8498 0.8498
Cu7 0.5000 0.0000 0.5000
Cu8 0.5000 0.2013 0.7987
Cu9 0.5000 0.5000 0.0000
Cu10 0.5000 0.7987 0.2013
Cu11 0.6570 0.1502 0.1502
Cu12 0.7987 0.2013 0.5000
Cu13 0.7987 0.5000 0.2013
Cu14 0.8498 0.3430 0.8498
Cu15 0.8498 0.8498 0.3430
```